[1]
# Ho3Zn3Ru2
Calculated XRD peak list, Cu Kα, 1.54184 Å. Input: the GGA-PBE geometry in Alexandria.

Structural model:
a b c (Å): 5.4416 5.4416 16.4828
angles (deg): 90.00 90.00 138.68
Positions (direct):
Ho1 0.0614 0.9386 0.6058
Ho2 0.0614 0.9386 0.8942
Ho3 0.3379 0.6621 0.7500
Ho4 0.6621 0.3379 0.2500
Ho5 0.9386 0.0614 0.1058
Ho6 0.9386 0.0614 0.3942
Zn1 0.3443 0.6557 0.5272
Zn2 0.3443 0.6557 0.9728
Zn3 0.3755 0.6245 0.2500
Zn4 0.6245 0.3755 0.7500
Zn5 0.6557 0.3443 0.0272
Zn6 0.6557 0.3443 0.4728
Ru1 0.2286 0.7714 0.1222
Ru2 0.2286 0.7714 0.3778
Ru3 0.7714 0.2286 0.6222
Ru4 0.7714 0.2286 0.8778

Most intense lines, 2θ = 15–90°, sorted by position:
Position (°2θ)  I (rel.)
32.60  17
33.08  100
35.29  29
35.70  57
37.01  27
39.02  68
41.72  38
43.95  20
47.35  31
52.99  27

[2]
# Te2SI2
Calculated XRD peak list, Cu Kα, 1.54184 Å. Input: the GGA-PBE geometry in Alexandria.

Structural model:
a b c (Å): 5.4496 5.4496 6.0209
angles (deg): 90.00 90.00 90.00
Positions (direct):
Te1 0.0000 0.5000 0.0000
Te2 0.5000 0.0000 0.0000
S1 0.0000 0.0000 0.0000
I1 0.0000 0.5000 0.5000
I2 0.5000 0.0000 0.5000

Most intense lines, 2θ = 15–90°, sorted by position:
Position (°2θ)  I (rel.)
23.08  100
29.68  35
32.87  53
37.93  55
44.87  44
47.17  19
53.15  21
56.73  22
62.06  26
86.08  14

- Which formula does entry 2 have?
  Te2SI2